(1)
Structure and computed XRD peak list of Nb6OsW3 (a crystal structure in Alexandria, relaxed with PBE; a wavelength of 1.5418 Å).

Crystal structure
```
data_Nb6OsW3
_chemical_formula_sum 'Nb12 Os2 W6'
_space_group_name_H-M_alt 'P 1'
_space_group_IT_number 1
_cell_length_a 7.9558
_cell_length_b 4.5882
_cell_length_c 9.7317
_cell_angle_alpha 90.00
_cell_angle_beta 105.86
_cell_angle_gamma 90.00
loop_
_space_group_symop_operation_xyz
'x,y,z'
loop_
_atom_site_label
_atom_site_type_symbol
_atom_site_fract_x
_atom_site_fract_y
_atom_site_fract_z
Nb1 Nb 0.0468 0.2500 0.3987
Nb2 Nb 0.1472 0.7500 0.1964
Nb3 Nb 0.2527 0.2500 0.9981
Nb4 Nb 0.3504 0.2500 0.2988
Nb5 Nb 0.3497 0.7500 0.8035
Nb6 Nb 0.4480 0.2500 0.6027
Nb7 Nb 0.5520 0.7500 0.3973
Nb8 Nb 0.6503 0.2500 0.1965
Nb9 Nb 0.6496 0.7500 0.7012
Nb10 Nb 0.7473 0.7500 0.0019
Nb11 Nb 0.8528 0.2500 0.8036
Nb12 Nb 0.9532 0.7500 0.6013
Os1 Os 0.4499 0.7500 0.0991
Os2 Os 0.5501 0.2500 0.9009
W1 W 0.0501 0.7500 0.9000
W2 W 0.1507 0.2500 0.7008
W3 W 0.2511 0.7500 0.5004
W4 W 0.7489 0.2500 0.4996
W5 W 0.8493 0.7500 0.2992
W6 W 0.9499 0.2500 0.1000
```

The 6 most intense peaks (5° ≤ 2θ ≤ 70°), low angle first:
2theta, I/Imax, hkl
27.5, 9, 2 0 1
39.3, 100, 1 1 3
48.6, 3, 0 0 5
56.7, 17, 4 0 2
64.1, 1, 5 1 0
64.2, 2, 3 1 -6


(2)
Structure and computed XRD peak list of Zr3NbOs2 (a crystal structure in Alexandria, relaxed with PBE; a wavelength of 1.5418 Å).

Crystal structure
```
data_Zr3NbOs2
_chemical_formula_sum 'Zr3 Nb1 Os2'
_space_group_name_H-M_alt 'P 1'
_space_group_IT_number 1
_cell_length_a 3.2871
_cell_length_b 3.2871
_cell_length_c 10.3395
_cell_angle_alpha 90.00
_cell_angle_beta 90.00
_cell_angle_gamma 90.00
loop_
_space_group_symop_operation_xyz
'x,y,z'
loop_
_atom_site_label
_atom_site_type_symbol
_atom_site_fract_x
_atom_site_fract_y
_atom_site_fract_z
Zr1 Zr 0.0000 0.0000 0.0000
Zr2 Zr 0.0000 0.0000 0.3181
Zr3 Zr 0.0000 0.0000 0.6819
Nb1 Nb 0.5000 0.5000 0.5000
Os1 Os 0.5000 0.5000 0.1595
Os2 Os 0.5000 0.5000 0.8405
```

The 6 most intense peaks (5° ≤ 2θ ≤ 70°), low angle first:
2theta, I/Imax, hkl
8.6, 20, 0 0 1
37.8, 100, 1 0 3
38.7, 48, 1 1 0
55.9, 16, 2 0 0
67.7, 16, 1 1 6
69.5, 33, 2 1 3